(1)
Theoretical powder diffractogram of ZnGeAs2 for λ = 1.5418 Å (Cu Kα), from a DFT-relaxed cell (PBE, the Materials Project).
Peak positions follow from Bragg's law for the DFT cell and can differ from measured ones.

Structural model:
```
data_ZnGeAs2
_space_group_name_H-M_alt 'P -4 m 2'
_space_group_IT_number 115
_cell_length_a 4.0455
_cell_length_b 4.0455
_cell_length_c 5.7517
_cell_angle_alpha 90.00
_cell_angle_beta 90.00
_cell_angle_gamma 90.00
loop_
_space_group_symop_operation_xyz
'x,y,z'
'y,-x,-z'
'-x,-y,z'
'-y,x,-z'
'-x,y,z'
'-y,-x,-z'
'x,-y,z'
'y,x,-z'
loop_
_atom_site_label
_atom_site_fract_x
_atom_site_fract_y
_atom_site_fract_z
Zn1 0.0000 0.0000 0.0000
Ge1 0.5000 0.5000 0.5000
As1 0.0000 0.5000 0.7575
```

Largest 7 diffraction maxima, by intensity, 2θ = 5–70°:
index	2theta	intensity
1 0 1	26.94	100
1 1 2	44.68	50
2 1 1	53.06	30
2 0 0	44.81	25
1 0 3	52.84	15
2 2 0	65.23	8
0 0 4	64.84	4

=====

(2)
Theoretical powder diffractogram of CsRbMg6 for λ = 1.5418 Å (Cu Kα), from a DFT-relaxed cell (PBE, the Materials Project).
Peak positions follow from Bragg's law for the DFT cell and can differ from measured ones.

Structural model:
```
data_CsRbMg6
_space_group_name_H-M_alt 'A m m 2'
_space_group_IT_number 38
_cell_length_a 5.4366
_cell_length_b 8.1824
_cell_length_c 12.4964
_cell_angle_alpha 90.00
_cell_angle_beta 90.00
_cell_angle_gamma 90.00
loop_
_space_group_symop_operation_xyz
'x,y,z'
'-x,-y,z'
'-x,y,z'
'x,-y,z'
'x,y+1/2,z+1/2'
'-x,-y+1/2,z+1/2'
'-x,y+1/2,z+1/2'
'x,-y+1/2,z+1/2'
loop_
_atom_site_label
_atom_site_fract_x
_atom_site_fract_y
_atom_site_fract_z
Cs1 0.0000 0.0000 0.0000
Rb1 0.5000 0.0000 0.1806
Mg1 0.0000 0.0000 0.5039
Mg2 0.0000 0.1919 0.7463
Mg3 0.5000 0.0000 0.6725
Mg4 0.5000 0.1901 0.4292
```

Largest 12 diffraction maxima, by intensity, 2θ = 5–70°:
index	2theta	intensity
1 2 2	30.87	100
0 1 1	12.93	55
0 2 0	21.69	50
1 1 1	20.87	45
1 0 4	33.07	36
1 1 3	29.13	34
2 0 0	32.95	30
0 2 2	26.03	19
1 4 2	49.80	18
0 0 4	28.57	18
3 2 2	57.55	16
2 2 6	60.39	16